Simulated powder diffractogram of CaV6O11F for Cu Kα (weighted mean of Kα1 and Kα2), from a structure optimized by DFT (GGA+U).
Neutral-atom scattering factors, no anomalous dispersion.

Structural model:
```
data_CaV6O11F
_symmetry_space_group_name_H-M 'P 1'
_symmetry_Int_Tables_number 1
_symmetry_space_group_name_Hall 'P 1'
_cell_length_a 4.611
_cell_length_b 4.734
_cell_length_c 10.727
_cell_angle_alpha 90.33
_cell_angle_beta 100.11
_cell_angle_gamma 92.12
loop_
_atom_site_label
_atom_site_type_symbol
_atom_site_fract_x
_atom_site_fract_y
_atom_site_fract_z
_atom_site_occupancy
Ca1 Ca 0.000 0.000 0.000 1
V1 V 0.241 0.040 0.357 1
V2 V 0.380 0.013 0.634 1
V3 V 0.489 0.523 0.907 1
V4 V 0.759 0.445 0.204 1
V5 V 0.813 0.532 0.479 1
V6 V 0.932 0.512 0.744 1
O1 O 0.037 0.524 0.921 1
O2 O 0.055 0.185 0.196 1
O3 O 0.061 0.746 0.627 1
O4 O 0.130 0.227 0.491 1
O5 O 0.272 0.254 0.764 1
O6 O 0.509 0.831 0.495 1
O7 O 0.564 0.302 0.337 1
O8 O 0.617 0.784 0.781 1
O9 O 0.633 0.688 0.068 1
O10 O 0.697 0.304 0.628 1
O11 O 0.978 0.718 0.334 1
F1 F 0.507 0.177 0.014 1
```

Peak list (12 most intense, 5 to 70 degrees two-theta, in order of falling intensity)
2θ (°)	d [Å]	Rel. int.	(hkl)
27.02	3.300	100	-1 1 1
27.93	3.194	98	1 1 -1
26.70	3.339	96	1 -1 0
27.77	3.213	77	1 1 0
8.37	10.559	68	0 0 1
31.88	2.807	56	0 1 3
39.13	2.302	49	2 0 -1
56.82	1.620	42	2 2 -1
40.45	2.230	39	1 1 3
53.82	1.703	38	1 2 -4
31.49	2.841	38	0 1 -3
36.24	2.479	37	1 0 -4

Simulated powder diffractogram of CoH4Br2O2 for Cu Kα (weighted mean of Kα1 and Kα2), from a structure optimized by DFT (GGA+U).
Neutral-atom scattering factors, no anomalous dispersion.

Structural model:
```
data_CoH4Br2O2
_symmetry_space_group_name_H-M 'C 1 2/m 1'
_symmetry_Int_Tables_number 12
_symmetry_space_group_name_Hall '-C 2y'
_cell_length_a 7.973
_cell_length_b 8.748
_cell_length_c 3.811
_cell_angle_alpha 90.00
_cell_angle_beta 101.28
_cell_angle_gamma 90.00
loop_
_atom_site_label
_atom_site_type_symbol
_atom_site_fract_x
_atom_site_fract_y
_atom_site_fract_z
_atom_site_occupancy
Co1 Co 0.000 0.000 0.000 1
H1 H 0.087 0.298 0.144 1
Br1 Br 0.237 0.000 0.591 1
O1 O 0.000 0.232 0.000 1
```

Peak list (12 most intense, 5 to 70 degrees two-theta, in order of falling intensity)
2θ (°)	d [Å]	Rel. int.	(hkl)
20.30	4.374	100	0 2 0
15.20	5.830	69	1 1 0
29.66	3.012	57	2 0 -1
30.23	2.957	44	1 1 1
36.36	2.471	38	2 0 1
30.67	2.915	38	2 2 0
39.46	2.284	37	3 1 -1
41.28	2.187	29	0 4 0
42.00	2.151	29	2 2 1
36.21	2.481	28	2 2 -1
48.97	1.860	26	1 1 -2
31.49	2.841	24	0 2 1